# 1
Starting from a crystal structure in Alexandria, relaxed with PBE, the X-ray diffraction stick pattern of Cu2BiF11 was simulated for CuKα.
Kinematic intensities with the Lorentz-polarization factor, no thermal factor.

Structural model:
```
28
Lattice="-5.056 4.435 4.345 5.056 -4.435 4.345 5.056 4.435 -4.345" Properties=species:S:1:pos:R:3 pbc="T T T"
Cu 2.528 -1.820 3.413
Cu 2.528 1.693 0.000
Cu 2.528 6.256 -0.932
Cu 2.528 2.742 4.345
Bi 0.000 4.435 1.648
Bi 0.000 0.000 5.993
F 7.584 -0.365 1.422
F 2.528 2.946 -1.312
F 7.584 1.295 0.362
F 2.528 0.365 1.422
F 1.205 -0.742 4.207
F 3.851 -0.742 4.207
F 1.167 2.674 0.921
F 3.889 2.674 0.921
F 2.528 1.489 3.033
F 1.205 5.178 -0.138
F 3.851 5.178 -0.138
F -1.197 2.644 2.360
F 6.253 2.644 2.360
F 1.167 1.761 5.267
F 3.889 1.761 5.267
F 1.172 3.732 3.421
F 3.884 3.732 3.421
F -2.528 3.140 4.707
F -3.884 5.139 3.421
F -1.172 5.139 3.421
F 1.197 6.226 2.360
F -1.197 1.791 6.705
```

Top 12 peaks for 2θ from 10° to 80°, low angle first:
2θ 14.27, I = 86; 2θ 22.68, I = 100; 2θ 26.74, I = 49; 2θ 27.06, I = 46; 2θ 28.76, I = 25; 2θ 31.97, I = 12; 2θ 32.52, I = 12; 2θ 37.18, I = 11; 2θ 46.32, I = 32; 2θ 47.48, I = 26; 2θ 48.52, I = 18; 2θ 48.91, I = 17

---

# 2
Starting from a crystal structure in Alexandria, relaxed with PBE, the X-ray diffraction stick pattern of KCuBiF6 was simulated for CuKα.
Kinematic intensities with the Lorentz-polarization factor, no thermal factor.

Structural model:
```
18
Lattice="5.874 0.000 0.000 -2.937 5.087 0.000 0.000 0.000 10.845" Properties=species:S:1:pos:R:3 pbc="T T T"
K 0.000 0.000 0.000
K 0.000 0.000 5.423
Cu 0.000 3.391 2.711
Cu 2.937 1.696 8.134
Bi 0.000 3.391 8.134
Bi 2.937 1.696 2.711
F -0.969 1.969 1.572
F -1.716 3.263 3.851
F 0.969 1.969 3.851
F -0.747 4.941 1.572
F 2.190 0.145 6.994
F 1.221 1.824 9.273
F 1.716 3.263 1.572
F 0.747 4.941 3.851
F 3.684 0.145 9.273
F 1.968 3.118 6.994
F 4.653 1.824 6.994
F 3.906 3.118 9.273
```

Top 12 peaks for 2θ from 10° to 80°, low angle first:
2θ 16.35, I = 83; 2θ 17.43, I = 38; 2θ 19.27, I = 55; 2θ 23.99, I = 100; 2θ 30.33, I = 25; 2θ 30.44, I = 55; 2θ 34.74, I = 66; 2θ 39.12, I = 24; 2θ 45.53, I = 80; 2θ 50.36, I = 26; 2θ 54.07, I = 34; 2θ 56.90, I = 19

---

# 3
Starting from a crystal structure in Alexandria, relaxed with PBE, the X-ray diffraction stick pattern of Li2CuBiF8 was simulated for CuKα.
Kinematic intensities with the Lorentz-polarization factor, no thermal factor.

Structural model:
```
12
Lattice="4.776 0.000 0.000 0.000 6.669 0.000 -0.014 0.000 4.782" Properties=species:S:1:pos:R:3 pbc="T T T"
Li 0.000 1.466 0.000
Li 0.000 5.203 0.000
Cu 2.381 0.000 2.391
Bi 2.381 3.334 2.391
F 0.827 3.334 0.850
F 1.028 0.000 1.043
F 1.429 1.503 3.352
F 1.429 5.166 3.352
F 3.332 1.503 1.430
F 3.332 5.166 1.430
F 3.733 0.000 3.739
F 3.934 3.334 3.933
```

Top 12 peaks for 2θ from 10° to 80°, low angle first:
2θ 13.28, I = 21; 2θ 18.57, I = 100; 2θ 22.89, I = 27; 2θ 26.38, I = 59; 2θ 26.74, I = 22; 2θ 29.63, I = 18; 2θ 32.75, I = 40; 2θ 37.89, I = 45; 2θ 42.34, I = 22; 2θ 46.77, I = 20; 2θ 50.72, I = 33; 2θ 64.87, I = 15

---

# 4
Starting from a crystal structure in Alexandria, relaxed with PBE, the X-ray diffraction stick pattern of Rb2Cu3BiF12 was simulated for CuKα.
Kinematic intensities with the Lorentz-polarization factor, no thermal factor.

Structural model:
```
18
Lattice="3.755 2.168 5.932 -3.755 2.168 5.932 0.000 -4.336 5.932" Properties=species:S:1:pos:R:3 pbc="T T T"
Rb 0.000 0.000 1.983
Rb 0.000 0.000 15.813
Cu -1.878 -1.084 5.932
Cu -1.877 1.084 11.864
Cu 0.000 2.168 5.932
Bi 0.000 0.000 8.898
F -1.818 -1.049 7.929
F 0.000 -1.669 5.972
F -1.446 0.835 5.972
F 0.000 -2.099 9.868
F -1.818 1.049 9.868
F -1.446 -0.835 11.825
F 1.446 0.835 5.972
F 1.818 -1.049 7.929
F 0.000 2.099 7.929
F 1.446 -0.835 11.825
F 0.000 1.669 11.825
F 1.818 1.049 9.868
```

Top 12 peaks for 2θ from 10° to 80°, low angle first:
2θ 14.50, I = 64; 2θ 16.89, I = 29; 2θ 23.69, I = 35; 2θ 28.12, I = 100; 2θ 28.59, I = 61; 2θ 29.24, I = 58; 2θ 37.99, I = 28; 2θ 44.49, I = 34; 2θ 44.81, I = 24; 2θ 48.49, I = 46; 2θ 49.65, I = 27; 2θ 57.26, I = 20

---

# 5
Starting from a crystal structure in Alexandria, relaxed with PBE, the X-ray diffraction stick pattern of FeCuBi was simulated for CuKα.
Kinematic intensities with the Lorentz-polarization factor, no thermal factor.

Structural model:
```
6
Lattice="3.990 0.000 0.000 0.000 3.990 0.000 0.000 0.000 6.709" Properties=species:S:1:pos:R:3 pbc="T T T"
Fe 0.997 2.992 0.000
Fe 2.992 0.997 0.000
Cu 0.997 0.997 1.604
Cu 2.992 2.992 5.105
Bi 0.997 0.997 4.619
Bi 2.992 2.992 2.089
```

Top 12 peaks for 2θ from 10° to 80°, low angle first:
2θ 25.98, I = 67; 2θ 26.57, I = 27; 2θ 31.72, I = 65; 2θ 34.49, I = 39; 2θ 34.95, I = 51; 2θ 41.84, I = 100; 2θ 45.47, I = 58; 2θ 53.11, I = 21; 2θ 58.60, I = 24; 2θ 59.81, I = 24; 2θ 62.38, I = 22; 2θ 78.22, I = 23